# 1
For LiIn6Bi3, the PBE geometry in Alexandria gives the calculated powder diffraction line list in this record (Cu Kα, 1.54184 Å).
No peak broadening, texture or thermal motion is included.

Main lines, sorted by position (5 to 70 degrees two-theta):
| 2θ (°) | Rel. int. | h k l |
| --- | --- | --- |
| 20.7 | 15 | 3 0 0 |
| 20.9 | 17 | 0 1 2 |
| 23.9 | 15 | 2 2 0 |
| 31.8 | 100 | 3 2 1 |
| 31.9 | 20 | 3 1 2 |
| 32.1 | 27 | 1 1 3 |
| 36.3 | 27 | 5 -3 2 |
| 38.5 | 26 | 2 2 3 |
| 43.9 | 20 | 6 -5 2 |
| 53.7 | 15 | 0 7 2 |

Cell and atoms:
```
data_LiIn6Bi3
_chemical_formula_sum 'Li6 In36 Bi18'
_cell_length_a 14.8827
_cell_length_b 14.8827
_cell_length_c 9.0284
_cell_angle_alpha 90.00
_cell_angle_beta 90.00
_cell_angle_gamma 120.00
_space_group_name_H-M_alt 'R -3'
_space_group_IT_number 148
_space_group_name_Hall '-R 3'
loop_
_atom_site_label
_atom_site_type_symbol
_atom_site_fract_x
_atom_site_fract_y
_atom_site_fract_z
_atom_site_occupancy
Li1 Li 0.0000 0.0000 0.0000 1
Li2 Li 0.0000 0.0000 0.5000 1
In1 In 0.0036 0.2470 0.4010 1
In2 In 0.0695 0.5873 0.6223 1
Bi1 Bi 0.0172 0.8585 0.2730 1
```

---

# 2
For Li2InBiO4, the PBE geometry in Alexandria gives the calculated powder diffraction line list in this record (Cu Kα, 1.54184 Å).
No peak broadening, texture or thermal motion is included.

Main lines, sorted by position (5 to 70 degrees two-theta):
| 2θ (°) | Rel. int. | h k l |
| --- | --- | --- |
| 16.3 | 38 | 1 1 0 |
| 16.5 | 100 | 1 1 -1 |
| 30.5 | 28 | 1 3 -1 |
| 32.0 | 22 | 1 1 1 |
| 32.4 | 22 | 3 1 -1 |
| 33.0 | 35 | 2 2 0 |
| 33.3 | 34 | 2 2 -2 |
| 36.4 | 29 | 0 4 0 |
| 39.1 | 24 | 0 0 2 |
| 39.7 | 23 | 4 0 -2 |

Cell and atoms:
```
data_Li2InBiO4
_chemical_formula_sum 'Li8 In4 Bi4 O16'
_cell_length_a 9.072
_cell_length_b 9.874
_cell_length_c 6.423
_cell_angle_alpha 90.00
_cell_angle_beta 134.24
_cell_angle_gamma 90.00
_space_group_name_H-M_alt 'C 1 2/c 1'
_space_group_IT_number 15
loop_
_space_group_symop_operation_xyz
'x,y,z'
'-x,-y,-z'
'-x,y,-z+1/2'
'x,-y,z+1/2'
'x+1/2,y+1/2,z'
'-x+1/2,-y+1/2,-z'
'-x+1/2,y+1/2,-z+1/2'
'x+1/2,-y+1/2,z+1/2'
loop_
_atom_site_label
_atom_site_type_symbol
_atom_site_fract_x
_atom_site_fract_y
_atom_site_fract_z
_atom_site_occupancy
Li1 Li 0.000 0.000 0.000 1
Li2 Li 0.250 0.250 0.000 1
In1 In 0.000 0.500 0.000 1
Bi1 Bi 0.250 0.250 0.500 1
O1 O 0.003 0.274 0.984 1
O2 O 0.244 0.493 0.490 1
```